Diffraction record for RbErSe2. The powder diffractogram is simulated, not measured: it uses DFT lattice parameters and positions (GGA-PBE) and Cu Kα, 1.54184 Å.
Peak positions follow from Bragg's law for the DFT cell and can differ from measured ones.

Atomic structure:
Cell: 8.352 8.352 8.352 Å, 29.22 29.22 29.22°
Element x y z (fractional)
Rb 0.000 0.000 0.000
Er 0.500 0.500 0.500
Se 0.231 0.231 0.231
Se 0.769 0.769 0.769

Most intense lines, 5° ≤ 2θ ≤ 70°, in order of falling intensity:
| 2theta | intensity |
| --- | --- |
| 28.64 | 100 |
| 42.93 | 36 |
| 11.07 | 34 |
| 38.89 | 34 |
| 52.43 | 18 |
| 35.97 | 13 |
| 64.26 | 10 |
| 59.31 | 10 |

Diffraction record for ErRe2. The powder diffractogram is simulated, not measured: it uses DFT lattice parameters and positions (GGA-PBE) and Cu Kα, 1.54184 Å.
Peak positions follow from Bragg's law for the DFT cell and can differ from measured ones.

Atomic structure:
Cell: 5.424 5.424 8.800 Å, 90.00 90.00 120.00°
Element x y z (fractional)
Er 0.333 0.667 0.063
Er 0.333 0.667 0.437
Er 0.667 0.333 0.563
Er 0.667 0.333 0.937
Re 0.000 0.000 0.000
Re 0.000 0.000 0.500
Re 0.172 0.344 0.750
Re 0.172 0.828 0.750
Re 0.344 0.172 0.250
Re 0.656 0.828 0.750
Re 0.828 0.172 0.250
Re 0.828 0.656 0.250

Most intense lines, 5° ≤ 2θ ≤ 70°, in order of falling intensity:
| 2theta | intensity |
| --- | --- |
| 39.02 | 100 |
| 39.72 | 91 |
| 36.10 | 66 |
| 66.37 | 32 |
| 69.30 | 29 |
| 63.02 | 25 |
| 61.01 | 24 |
| 33.03 | 24 |

Diffraction record for ErRh5. The powder diffractogram is simulated, not measured: it uses DFT lattice parameters and positions (GGA-PBE) and Cu Kα, 1.54184 Å.
Peak positions follow from Bragg's law for the DFT cell and can differ from measured ones.

Atomic structure:
Cell: 5.227 5.227 4.338 Å, 90.00 90.00 120.00°
Element x y z (fractional)
Er 0.000 0.000 0.000
Rh 0.000 0.500 0.500
Rh 0.333 0.667 0.000
Rh 0.500 0.000 0.500
Rh 0.500 0.500 0.500
Rh 0.667 0.333 0.000

Most intense lines, 5° ≤ 2θ ≤ 70°, in order of falling intensity:
| 2theta | intensity |
| --- | --- |
| 40.29 | 100 |
| 39.83 | 32 |
| 41.64 | 31 |
| 28.50 | 30 |
| 34.31 | 25 |
| 65.50 | 23 |
| 45.19 | 20 |
| 58.99 | 20 |

Diffraction record for ErRh. The powder diffractogram is simulated, not measured: it uses DFT lattice parameters and positions (GGA-PBE) and Cu Kα, 1.54184 Å.
Peak positions follow from Bragg's law for the DFT cell and can differ from measured ones.

Atomic structure:
Cell: 3.400 3.400 3.400 Å, 90.00 90.00 90.00°
Element x y z (fractional)
Er 0.000 0.000 0.000
Rh 0.500 0.500 0.500

Most intense lines, 5° ≤ 2θ ≤ 70°, in order of falling intensity:
| 2theta | intensity |
| --- | --- |
| 37.41 | 100 |
| 67.48 | 35 |
| 53.94 | 17 |
| 26.21 | 6 |
| 60.93 | 3 |
| 46.25 | 2 |

Diffraction record for Er4Rh. The powder diffractogram is simulated, not measured: it uses DFT lattice parameters and positions (GGA-PBE) and Cu Kα, 1.54184 Å.
Peak positions follow from Bragg's law for the DFT cell and can differ from measured ones.

Atomic structure:
Cell: 7.556 7.556 7.556 Å, 60.00 60.00 60.00°
Element x y z (fractional)
Er 0.208 0.764 0.764
Er 0.236 0.236 0.236
Er 0.236 0.236 0.792
Er 0.236 0.792 0.236
Er 0.764 0.208 0.764
Er 0.764 0.764 0.208
Er 0.764 0.764 0.764
Er 0.792 0.236 0.236
Rh 0.375 0.375 0.375
Rh 0.625 0.625 0.625

Most intense lines, 5° ≤ 2θ ≤ 70°, in order of falling intensity:
| 2theta | intensity |
| --- | --- |
| 28.95 | 100 |
| 48.18 | 44 |
| 57.19 | 35 |
| 33.55 | 34 |
| 44.04 | 20 |
| 36.66 | 18 |
| 23.55 | 10 |
| 62.03 | 8 |